# RbErMoO5
Computed powder X-ray diffraction pattern, λ = 1.5418 Å (Cu Kα). Input: DFT lattice parameters and positions (GGA+U).
Intensities are scaled so that the largest is 100.

Structure:
```
data_RbErMoO5
_chemical_formula_sum 'Rb4 Er4 Mo4 O20'
_symmetry_space_group_name_H-M 'C 1 2/c 1'
_symmetry_Int_Tables_number 15
_symmetry_space_group_name_Hall '-C 2yc'
_cell_length_a 7.801
_cell_length_b 10.314
_cell_length_c 8.133
_cell_angle_alpha 90.00
_cell_angle_beta 114.88
_cell_angle_gamma 90.00
loop_
_atom_site_label
_atom_site_fract_x
_atom_site_fract_y
_atom_site_fract_z
Rb1 0.000 0.179 0.250
Er1 0.000 0.500 0.000
Mo1 0.000 0.187 0.750
O1 0.000 0.439 0.250
O2 0.083 0.288 0.618
O3 0.187 0.083 0.897
```

Main lines, low angle first (15° ≤ 2θ ≤ 90°):
- 2θ = 15.18°, 5.835 Å, intensity 43, hkl 1 1 0
- 2θ = 23.64°, 3.763 Å, intensity 98, hkl 1 1 -2
- 2θ = 25.17°, 3.538 Å, intensity 86, hkl 2 0 0
- 2θ = 28.87°, 3.092 Å, intensity 100, hkl 1 3 0
- 2θ = 29.78°, 3.000 Å, intensity 66, hkl 0 2 2
- 2θ = 31.83°, 2.812 Å, intensity 39, hkl 2 2 -2